Calculated powder diffraction line list of CaFe2Pt for Cu Kα (λ = 1.5418 Å), from DFT lattice parameters and positions (GGA-PBE).
Lines closer than 0.1° are merged.

Peak list (10 most intense, 2θ from 10° to 90°, in order of rising 2θ)
| 2θ (°) | d (Å) | I/Imax |
| --- | --- | --- |
| 17.64 | 5.026 | 100.0 |
| 24.81 | 3.589 | 40.8 |
| 26.87 | 3.318 | 29.7 |
| 33.97 | 2.639 | 29.6 |
| 35.73 | 2.513 | 20.5 |
| 38.53 | 2.336 | 39.4 |
| 42.37 | 2.133 | 65.0 |
| 46.23 | 1.964 | 50.8 |
| 48.94 | 1.861 | 10.6 |
| 56.56 | 1.627 | 21.3 |

Cell and atoms:
```
CaFe2Pt
1.0
3.6951 -2.1332 0.0000
3.6951 2.1332 0.0000
-2.4507 0.0000 5.0264
Ca Fe Pt
1 2 1
Direct
0.0000 0.0000 0.0000
0.1924 0.1924 0.5782
0.4860 0.4860 0.4589
0.8063 0.8063 0.4195
```

=====

Calculated powder diffraction line list of CaFePt2 for Cu Kα (λ = 1.5418 Å), from DFT lattice parameters and positions (GGA-PBE).
Lines closer than 0.1° are merged.

Peak list (10 most intense, 2θ from 10° to 90°, in order of rising 2θ)
| 2θ (°) | d (Å) | I/Imax |
| --- | --- | --- |
| 12.36 | 7.162 | 61.5 |
| 24.86 | 3.581 | 36.2 |
| 27.21 | 3.277 | 48.9 |
| 29.99 | 2.980 | 47.1 |
| 37.19 | 2.418 | 98.6 |
| 39.34 | 2.291 | 84.4 |
| 40.93 | 2.205 | 100.0 |
| 47.10 | 1.930 | 28.0 |
| 48.49 | 1.877 | 26.3 |
| 70.69 | 1.333 | 31.0 |

Cell and atoms:
```
CaFePt2
1.0
2.9799 0.0000 0.0000
0.0000 3.2772 0.0000
0.0000 0.0000 7.1621
Ca Fe Pt
1 1 2
Direct
0.0000 0.0000 0.0000
0.0000 0.0000 0.5000
0.5000 0.5000 0.2965
0.5000 0.5000 0.7035
```